# CsEr3Se5
Calculated powder diffractogram, Cu Kα (weighted mean of Kα1 and Kα2). Input: a crystal structure in the Materials Project, relaxed with GGA-PBE.

Principal peaks in the range 2θ = 10–90°, low angle first:
10.70°, rel. 27, (2 0 1); 18.67°, rel. 46, (3 0 2); 30.58°, rel. 100, (0 1 3); 30.85°, rel. 90, (1 1 3); 32.36°, rel. 49, (8 0 0); 33.18°, rel. 22, (8 0 1); 43.92°, rel. 86, (0 2 0); 45.12°, rel. 43, (8 1 3); 55.58°, rel. 21, (8 2 0); 63.82°, rel. 20, (1 2 6)

Structure:
Cell: 22.1301 4.1249 12.4299 Å, 90.00 90.00 90.00°
Space group Pnma (No. 62)
Unique sites:
1 Cs 0.0924 0.2500 0.1466 (multiplicity 4)
2 Er 0.0540 0.7500 0.6081 (multiplicity 4)
3 Er 0.1747 0.2500 0.7970 (multiplicity 4)
4 Er 0.1978 0.2500 0.4571 (multiplicity 4)
5 Se 0.0478 0.2500 0.7640 (multiplicity 4)
6 Se 0.0690 0.2500 0.4484 (multiplicity 4)
7 Se 0.1747 0.7500 0.9491 (multiplicity 4)
8 Se 0.1846 0.7500 0.6260 (multiplicity 4)
9 Se 0.1978 0.7500 0.3065 (multiplicity 4)